Nd6InTe12: calculated X-ray powder pattern (Cu Kα (λ = 1.5418 Å)), based on DFT lattice parameters and positions (PBE).
Lines closer than 0.1° are merged.

Crystal structure
Cell lengths 13.6895, 13.6895, 12.9476 Å; angles 90.00, 90.00, 120.00 degrees
Space group R-3 (No. 148, hexagonal axes)
Unique sites:
Nd 0.0432 0.7692 0.1310 [18 per cell]
In 0.0000 0.0000 0.5000 [3 per cell]
Te 0.0317 0.8207 0.8919 [18 per cell]
Te 0.0810 0.8609 0.3806 [18 per cell]

The 10 most intense peaks (15° ≤ 2θ ≤ 90°), in order of falling intensity:
h k l  2theta  d (Å)  I/Imax
4 1 0  34.7  2.587  100
3 -1 1  21.0  4.235  98
3 -1 4  34.2  2.624  96
4 -1 2  30.5  2.932  67
1 0 4  28.6  3.123  47
1 5 2  44.8  2.023  31
4 -3 1  28.0  3.187  29
3 0 3  30.7  2.915  27
6 -4 1  40.9  2.208  27
2 3 2  35.8  2.508  25